(1)
Starting from DFT lattice parameters and positions (PBE), the powder XRD pattern of Ba2Ge5Au4 was simulated for Cu Ka.

Structural model:
```
data_Ba2Ge5Au4
_cell_length_a 6.3749
_cell_length_b 10.7172
_cell_length_c 15.4770
_cell_angle_alpha 90.00
_cell_angle_beta 90.00
_cell_angle_gamma 90.00
_space_group_name_H-M_alt 'F m m m'
_space_group_IT_number 69
_space_group_name_Hall '-F 2 2'
loop_
_atom_site_label
_atom_site_fract_x
_atom_site_fract_y
_atom_site_fract_z
_atom_site_occupancy
Ba1 0.0000 0.0000 0.1373 1
Ge1 0.0000 0.0000 0.5000 1
Ge2 0.2500 0.2500 0.0000 1
Ge3 0.2500 0.2500 0.2500 1
Au1 0.0000 0.1416 0.3593 1
```

The 8 most intense peaks (2θ from 10° to 90°), low angle first:
- d 5.165, I 28
- d 3.869, I 27
- d 3.187, I 32
- d 3.055, I 50
- d 2.667, I 100
- d 2.460, I 69
- d 1.803, I 29
- d 1.722, I 27

***

(2)
Starting from DFT lattice parameters and positions (PBE), the powder XRD pattern of Ba2Ge7Au12 was simulated for Cu Ka.

Structural model:
```
data_Ba2Ge7Au12
_cell_length_a 10.3052
_cell_length_b 10.3052
_cell_length_c 4.8496
_cell_angle_alpha 90.00
_cell_angle_beta 90.00
_cell_angle_gamma 120.00
_space_group_name_H-M_alt 'P -3'
_space_group_IT_number 147
_space_group_name_Hall '-P 3'
loop_
_atom_site_label
_atom_site_fract_x
_atom_site_fract_y
_atom_site_fract_z
_atom_site_occupancy
Ba1 0.3333 0.6667 0.2659 1
Ge1 0.0000 0.0000 0.0000 1
Ge2 0.1052 0.7198 0.8103 1
Au1 0.0574 0.4483 0.7347 1
Au2 0.1240 0.2539 0.3157 1
```

The 8 most intense peaks (2θ from 10° to 90°), low angle first:
- d 2.769, I 100
- d 2.425, I 20
- d 2.205, I 27
- d 2.047, I 19
- d 1.969, I 11
- d 1.948, I 12
- d 1.458, I 10
- d 1.268, I 12

***

(3)
Starting from DFT lattice parameters and positions (PBE), the powder XRD pattern of BaGe3Au was simulated for Cu Ka.

Structural model:
```
data_BaGe3Au
_cell_length_a 6.7157
_cell_length_b 6.7111
_cell_length_c 6.1888
_cell_angle_alpha 90.00
_cell_angle_beta 122.75
_cell_angle_gamma 90.00
_space_group_name_H-M_alt 'C 1 m 1'
_space_group_IT_number 8
_space_group_name_Hall 'C -2y'
loop_
_atom_site_label
_atom_site_fract_x
_atom_site_fract_y
_atom_site_fract_z
_atom_site_occupancy
Ba1 0.0000 0.0000 0.0000 1
Ge1 0.0053 0.2501 0.5096 1
Ge2 0.3831 0.0000 0.7654 1
Au1 0.1390 0.5000 0.2763 1
```

The 8 most intense peaks (2θ from 10° to 90°), low angle first:
- d 4.319, I 30
- d 3.357, I 42
- d 2.821, I 69
- d 2.801, I 100
- d 2.374, I 80
- d 2.057, I 30
- d 1.811, I 56
- d 1.678, I 28

***

(4)
Starting from DFT lattice parameters and positions (PBE), the powder XRD pattern of Ba6GeAu3 was simulated for Cu Ka.

Structural model:
```
data_Ba6GeAu3
_cell_length_a 13.2939
_cell_length_b 4.8589
_cell_length_c 13.8700
_cell_angle_alpha 90.00
_cell_angle_beta 109.26
_cell_angle_gamma 90.00
_space_group_name_H-M_alt 'P 1 21/m 1'
_space_group_IT_number 11
_space_group_name_Hall '-P 2yb'
loop_
_atom_site_label
_atom_site_fract_x
_atom_site_fract_y
_atom_site_fract_z
_atom_site_occupancy
Ba1 0.0259 0.2500 0.3868 1
Ba2 0.1012 0.2500 0.9352 1
Ba3 0.2488 0.7500 0.2818 1
Ba4 0.3138 0.7500 0.7598 1
Ba5 0.3941 0.2500 0.5477 1
Ba6 0.4190 0.7500 0.1062 1
Ge1 0.4501 0.2500 0.3017 1
Au1 0.0722 0.2500 0.1666 1
Au2 0.1867 0.7500 0.5065 1
Au3 0.3475 0.2500 0.9273 1
```

The 8 most intense peaks (2θ from 10° to 90°), low angle first:
- d 6.562, I 60
- d 4.133, I 100
- d 3.500, I 86
- d 3.398, I 73
- d 3.170, I 97
- d 2.633, I 50
- d 2.597, I 91
- d 2.429, I 94